Dy2Si3Pt3: calculated powder diffractogram (Cu Kα (weighted mean of Kα1 and Kα2)), based on a structure optimized by DFT (GGA-PBE).

Structure:
```
data_Dy2Si3Pt3
_cell_length_a 2.7931
_cell_length_b 2.7931
_cell_length_c 20.7000
_cell_angle_alpha 90.00
_cell_angle_beta 90.00
_cell_angle_gamma 90.00
_space_group_name_H-M_alt 'P 1'
_space_group_IT_number 1
loop_
_space_group_symop_operation_xyz
'x,y,z'
loop_
_atom_site_label
_atom_site_type_symbol
_atom_site_fract_x
_atom_site_fract_y
_atom_site_fract_z
Dy1 Dy 0.0000 0.0000 0.2477
Dy2 Dy 0.0000 0.0000 0.7523
Si1 Si 0.0000 0.0000 0.0000
Si2 Si 0.0000 0.0000 0.3868
Si3 Si 0.0000 0.0000 0.6132
Pt1 Pt 0.0000 0.0000 0.1153
Pt2 Pt 0.0000 0.0000 0.5000
Pt3 Pt 0.0000 0.0000 0.8847
```

Main lines, sorted by position (2θ = 10–90°):
| Position (°2θ) | I (rel.) | index |
| --- | --- | --- |
| 12.83 | 56 | 0 0 3 |
| 21.46 | 25 | 0 0 5 |
| 32.04 | 100 | 1 0 0 |
| 34.66 | 58 | 0 0 8 |
| 38.90 | 23 | 1 0 5 |
| 45.95 | 37 | 1 1 0 |
| 47.92 | 67 | 1 0 8 |
| 58.82 | 32 | 1 1 8 |
| 67.01 | 12 | 2 0 0 |
| 76.22 | 17 | 2 1 0 |
| 77.70 | 19 | 2 0 8 |
| 86.52 | 22 | 2 1 8 |